1.
Diffraction record for SrMg14CoO16. The X-ray diffraction stick pattern is calculated, not measured: it uses a DFT-relaxed cell (PBE+U, the Materials Project) and Cu Kα X-rays.
Lines closer than 0.1° are merged.

Main lines, by angle (5° ≤ 2θ ≤ 70°):
two_theta	d [Å]	I/Imax
14.5	6.124	17.1
20.5	4.331	11.3
25.0	3.561	12.7
29.0	3.079	9.6
35.8	2.509	33.0
38.8	2.322	8.8
41.2	2.189	52.8
41.7	2.165	100.0
60.1	1.539	58.9
60.5	1.531	28.3

Atomic structure:
a b c (Å): 8.661 8.661 4.378
angles (deg): 90.00 90.00 90.00
Space group P4/mmm (No. 123)
Asymmetric unit:
Sr: 0.000 0.000 0.000
Mg: 0.000 0.260 0.500
Mg: 0.000 0.500 0.000
Mg: 0.251 0.500 0.500
Mg: 0.256 0.256 0.000
Co: 0.500 0.500 0.000
O: 0.000 0.000 0.500
O: 0.000 0.271 0.000
O: 0.000 0.500 0.500
O: 0.251 0.251 0.500
O: 0.252 0.500 0.000
O: 0.500 0.500 0.500

***

2.
Diffraction record for BaGdCo2O6. The X-ray diffraction stick pattern is calculated, not measured: it uses a DFT-relaxed cell (PBE+U, the Materials Project) and Cu Kα X-rays.
Lines closer than 0.1° are merged.

Main lines, by angle (5° ≤ 2θ ≤ 70°):
two_theta	d [Å]	I/Imax
23.0	3.860	13.4
32.8	2.730	51.1
33.1	2.709	100.0
40.7	2.217	25.4
47.1	1.930	32.3
47.9	1.901	14.2
58.7	1.572	38.5
59.2	1.560	20.4
68.8	1.365	9.5
69.4	1.354	17.4

Atomic structure:
a b c (Å): 3.860 3.860 7.603
angles (deg): 90.00 90.00 90.00
Space group P4/mmm (No. 123)
Asymmetric unit:
Ba: 0.000 0.000 0.000
Gd: 0.000 0.000 0.500
Co: 0.500 0.500 0.251
O: 0.000 0.500 0.282
O: 0.500 0.500 0.000
O: 0.500 0.500 0.500

***

3.
Diffraction record for NaSrVF6. The X-ray diffraction stick pattern is calculated, not measured: it uses a DFT-relaxed cell (PBE+U, the Materials Project) and Cu Kα X-rays.
Lines closer than 0.1° are merged.

Main lines, by angle (5° ≤ 2θ ≤ 70°):
two_theta	d [Å]	I/Imax
20.5	4.335	88.7
24.8	3.594	62.4
25.2	3.531	100.0
26.2	3.402	92.1
31.7	2.827	35.1
36.9	2.435	31.8
38.8	2.319	38.0
41.7	2.165	29.3
47.1	1.931	82.3
54.9	1.672	28.1

Atomic structure:
a b c (Å): 5.493 9.505 10.544
angles (deg): 90.00 90.00 90.00
Space group P2_12_12_1 (No. 19)
Asymmetric unit:
Na: 0.044 0.147 0.083
Sr: 0.006 0.686 0.823
V: 0.037 0.500 0.127
F: 0.141 0.995 0.535
F: 0.159 0.838 0.317
F: 0.209 0.643 0.586
F: 0.213 0.123 0.296
F: 0.220 0.660 0.048
F: 0.221 0.521 0.285

***

4.
Diffraction record for Li3V2P5O16. The X-ray diffraction stick pattern is calculated, not measured: it uses a DFT-relaxed cell (PBE+U, the Materials Project) and Cu Kα X-rays.
Lines closer than 0.1° are merged.

Main lines, by angle (5° ≤ 2θ ≤ 70°):
two_theta	d [Å]	I/Imax
9.7	9.164	49.1
13.5	6.546	100.0
19.4	4.583	78.5
19.6	4.523	35.8
22.0	4.033	31.9
22.5	3.958	78.6
29.2	3.055	37.1
31.3	2.856	38.9
32.0	2.794	40.3
32.9	2.721	33.8

Atomic structure:
a b c (Å): 5.050 7.008 18.355
angles (deg): 90.00 93.12 90.00
Space group P2/c (No. 13)
Asymmetric unit:
Li: 0.000 0.016 0.250
Li: 0.239 0.322 0.966
V: 0.233 0.178 0.410
P: 0.243 0.468 0.124
P: 0.273 0.130 0.587
P: 0.500 0.244 0.250
O: 0.053 0.453 0.393
O: 0.117 0.014 0.130
O: 0.117 0.209 0.519
O: 0.307 0.385 0.205
O: 0.313 0.315 0.643
O: 0.322 0.133 0.298
O: 0.420 0.378 0.069
O: 0.440 0.082 0.928

***

5.
Diffraction record for Na2CaV12O36. The X-ray diffraction stick pattern is calculated, not measured: it uses a DFT-relaxed cell (PBE+U, the Materials Project) and Cu Kα X-rays.
Lines closer than 0.1° are merged.

Main lines, by angle (5° ≤ 2θ ≤ 70°):
two_theta	d [Å]	I/Imax
11.3	7.805	100.0
18.6	4.765	19.7
24.5	3.627	30.8
27.7	3.217	53.5
28.2	3.161	14.6
29.6	3.016	21.9
30.1	2.973	13.2
43.8	2.067	17.3
50.0	1.825	14.5
50.3	1.815	16.7

Atomic structure:
a b c (Å): 15.667 7.260 14.508
angles (deg): 90.00 117.64 90.00
Space group Cm (No. 8)
Asymmetric unit:
Na: 0.000 0.248 0.000
Ca: 0.171 0.000 0.381
V: 0.051 0.249 0.760
V: 0.115 0.500 0.608
V: 0.128 0.000 0.624
V: 0.241 0.000 0.149
V: 0.243 0.500 0.150
V: 0.258 0.500 0.888
V: 0.259 0.000 0.875
V: 0.416 0.249 0.511
V: 0.430 0.250 0.232
O: 0.030 0.258 0.860
O: 0.047 0.227 0.335
O: 0.081 0.000 0.752
O: 0.086 0.246 0.621
O: 0.091 0.500 0.759
O: 0.119 0.500 0.062
O: 0.124 0.000 0.047
O: 0.150 0.000 0.525
O: 0.155 0.500 0.524
O: 0.209 0.000 0.245
O: 0.215 0.245 0.857
O: 0.215 0.500 0.248
O: 0.223 0.500 0.730
O: 0.241 0.000 0.731
O: 0.248 0.000 0.999
O: 0.250 0.500 0.002
O: 0.279 0.248 0.151
O: 0.299 0.220 0.456
O: 0.375 0.500 0.926
O: 0.377 0.000 0.931
O: 0.390 0.500 0.231
O: 0.395 0.000 0.236
O: 0.427 0.253 0.388
O: 0.435 0.242 0.653
O: 0.448 0.500 0.524
O: 0.460 0.252 0.137
O: 0.466 0.000 0.528

***

6.
Diffraction record for Mo3H2O10. The X-ray diffraction stick pattern is calculated, not measured: it uses a DFT-relaxed cell (PBE+U, the Materials Project) and Cu Kα X-rays.
Lines closer than 0.1° are merged.

Main lines, by angle (5° ≤ 2θ ≤ 70°):
two_theta	d [Å]	I/Imax
9.4	9.387	51.6
9.5	9.285	100.0
19.1	4.643	44.0
24.7	3.606	31.2
24.9	3.578	46.6
25.1	3.542	50.6
25.3	3.526	52.9
25.5	3.499	49.3
28.0	3.186	33.3
34.5	2.598	41.0

Atomic structure:
a b c (Å): 3.897 10.683 10.801
angles (deg): 119.63 90.97 90.04
Space group P-1 (No. 2)
Asymmetric unit:
Mo: 0.247 0.358 0.394
Mo: 0.249 0.106 0.962
Mo: 0.253 0.534 0.141
H: 0.210 0.007 0.417
H: 0.290 0.092 0.578
O: 0.237 0.012 0.779
O: 0.247 0.217 0.217
O: 0.247 0.497 0.919
O: 0.250 0.993 0.500
O: 0.251 0.268 0.489
O: 0.251 0.290 0.006
O: 0.251 0.924 0.003
O: 0.252 0.499 0.285
O: 0.252 0.581 0.577
O: 0.263 0.719 0.228

***

7.
Diffraction record for LiCrSnO4. The X-ray diffraction stick pattern is calculated, not measured: it uses a DFT-relaxed cell (PBE+U, the Materials Project) and Cu Kα X-rays.
Lines closer than 0.1° are merged.

Main lines, by angle (5° ≤ 2θ ≤ 70°):
two_theta	d [Å]	I/Imax
17.9	4.965	46.5
29.3	3.048	44.7
29.4	3.036	88.7
34.5	2.598	100.0
34.7	2.582	51.6
52.0	1.758	36.9
52.3	1.750	18.3
55.4	1.659	31.9
60.8	1.524	19.6
61.0	1.518	39.0

Atomic structure:
a b c (Å): 6.097 6.097 8.552
angles (deg): 90.00 90.00 90.00
Space group P4_322 (No. 95)
Asymmetric unit:
Li: 0.000 0.233 0.000
Cr: 0.243 0.500 0.250
Sn: 0.252 0.252 0.625
O: 0.020 0.262 0.251
O: 0.263 0.482 0.014

***

8.
Diffraction record for Sm3VGeO9. The X-ray diffraction stick pattern is calculated, not measured: it uses a DFT-relaxed cell (PBE+U, the Materials Project) and Cu Kα X-rays.
Lines closer than 0.1° are merged.

Main lines, by angle (5° ≤ 2θ ≤ 70°):
two_theta	d [Å]	I/Imax
12.2	7.235	24.5
20.2	4.404	27.0
26.3	3.382	41.9
28.2	3.166	44.0
28.7	3.115	86.1
29.2	3.061	100.0
29.9	2.990	65.4
30.9	2.898	50.5
36.3	2.474	25.4
44.7	2.028	22.6

Atomic structure:
a b c (Å): 7.049 12.458 9.828
angles (deg): 90.00 115.28 90.00
Space group P2_1/c (No. 14)
Asymmetric unit:
Sm: 0.051 0.132 0.380
Sm: 0.369 0.606 0.873
Sm: 0.399 0.136 0.158
V: 0.218 0.662 0.520
Ge: 0.191 0.100 0.744
O: 0.029 0.159 0.132
O: 0.067 0.575 0.908
O: 0.174 0.172 0.891
O: 0.240 0.749 0.166
O: 0.278 0.535 0.277
O: 0.290 0.542 0.620
O: 0.314 0.169 0.641
O: 0.382 0.080 0.385
O: 0.400 0.712 0.464